No. 1
This entry pairs a crystal structure of SnW2Au with its calculated powder X-ray diffraction pattern. Radiation: copper Kα. Structure: the PBE geometry in OQMD.

The 8 most intense peaks (2θ = 10–90°), by angle:
| h k l | d [Å] | I (rel.) |
| --- | --- | --- |
| 1 1 1 | 3.801 | 2 |
| 2 0 0 | 3.292 | 2 |
| 2 2 0 | 2.328 | 100 |
| 3 1 1 | 1.985 | 1 |
| 4 0 0 | 1.646 | 17 |
| 4 2 0 | 1.472 | 1 |
| 4 2 2 | 1.344 | 36 |
| 4 4 0 | 1.164 | 12 |

Atomic structure:
```
data_SnW2Au
_symmetry_space_group_name_H-M 'F -4 3 m'
_symmetry_Int_Tables_number 216
_symmetry_space_group_name_Hall 'F -4 2 3'
_cell_length_a 6.584
_cell_length_b 6.584
_cell_length_c 6.584
_cell_angle_alpha 90.00
_cell_angle_beta 90.00
_cell_angle_gamma 90.00
loop_
_atom_site_label
_atom_site_type_symbol
_atom_site_fract_x
_atom_site_fract_y
_atom_site_fract_z
Sn1 Sn 0.000 0.000 0.000
W1 W 0.000 0.000 0.500
W2 W 0.250 0.250 0.750
Au1 Au 0.250 0.250 0.250
```

---

No. 2
This entry pairs a crystal structure of YSnAu with its calculated powder X-ray diffraction pattern. Radiation: copper Kα. Structure: the PBE geometry in OQMD.

The 10 most intense peaks (2θ = 10–90°), by angle:
| h k l | d [Å] | I (rel.) |
| --- | --- | --- |
| 0 0 2 | 3.710 | 22 |
| 1 0 1 | 3.575 | 40 |
| 1 0 2 | 2.745 | 85 |
| 1 1 0 | 2.356 | 100 |
| 1 0 3 | 2.115 | 45 |
| 1 1 2 | 1.989 | 26 |
| 2 0 2 | 1.788 | 24 |
| 2 1 2 | 1.424 | 23 |
| 1 0 5 | 1.395 | 18 |
| 2 1 3 | 1.309 | 20 |

Atomic structure:
```
data_YSnAu
_symmetry_space_group_name_H-M 'P 63 m c'
_symmetry_Int_Tables_number 186
_symmetry_space_group_name_Hall 'P 6c -2c'
_cell_length_a 4.7111
_cell_length_b 4.7111
_cell_length_c 7.4199
_cell_angle_alpha 90.00
_cell_angle_beta 90.00
_cell_angle_gamma 120.00
loop_
_atom_site_label
_atom_site_type_symbol
_atom_site_fract_x
_atom_site_fract_y
_atom_site_fract_z
Y1 Y 0.0000 0.0000 0.0000
Sn1 Sn 0.3333 0.6667 0.2245
Au1 Au 0.3333 0.6667 0.8237
```

---

No. 3
This entry pairs a crystal structure of Zr3Sn4Au4 with its calculated powder X-ray diffraction pattern. Radiation: copper Kα. Structure: the PBE geometry in OQMD.

The 10 most intense peaks (2θ = 10–90°), by angle:
| h k l | d [Å] | I (rel.) |
| --- | --- | --- |
| 0 1 1 | 3.961 | 22 |
| 2 0 0 | 3.335 | 28 |
| 2 1 -1 | 2.565 | 97 |
| 2 0 2 | 2.545 | 46 |
| 0 1 3 | 2.319 | 100 |
| 0 2 0 | 2.272 | 49 |
| 2 1 -3 | 1.922 | 14 |
| 2 0 -4 | 1.747 | 15 |
| 2 2 2 | 1.695 | 28 |
| 0 3 3 | 1.320 | 17 |

Atomic structure:
```
data_Zr3Sn4Au4
_symmetry_space_group_name_H-M 'P 1 m 1'
_symmetry_Int_Tables_number 6
_symmetry_space_group_name_Hall 'P -2y'
_cell_length_a 6.673
_cell_length_b 4.543
_cell_length_c 8.091
_cell_angle_alpha 90.00
_cell_angle_beta 91.29
_cell_angle_gamma 90.00
loop_
_atom_site_label
_atom_site_type_symbol
_atom_site_fract_x
_atom_site_fract_y
_atom_site_fract_z
Zr1 Zr 0.000 0.000 0.000
Zr2 Zr 0.021 0.500 0.452
Zr3 Zr 0.511 0.000 0.972
Sn1 Sn 0.287 0.500 0.135
Sn2 Sn 0.303 0.000 0.645
Sn3 Sn 0.703 0.000 0.329
Sn4 Sn 0.724 0.500 0.800
Au1 Au 0.174 0.500 0.805
Au2 Au 0.266 0.000 0.316
Au3 Au 0.773 0.500 0.146
Au4 Au 0.849 0.000 0.646
```

---

No. 4
This entry pairs a crystal structure of Zr3Sn4Au4 with its calculated powder X-ray diffraction pattern. Radiation: copper Kα. Structure: the PBE geometry in OQMD.

The 10 most intense peaks (2θ = 10–90°), by angle:
| h k l | d [Å] | I (rel.) |
| --- | --- | --- |
| 1 0 1 | 5.791 | 3 |
| 1 1 2 | 3.738 | 67 |
| 2 2 0 | 2.289 | 100 |
| 3 1 2 | 1.952 | 35 |
| 4 0 0 | 1.619 | 17 |
| 3 3 2 | 1.485 | 14 |
| 4 2 4 | 1.322 | 34 |
| 1 1 10 | 1.246 | 11 |
| 4 4 0 | 1.145 | 11 |
| 5 3 2 | 1.094 | 11 |

Atomic structure:
```
data_Zr3Sn4Au4
_symmetry_space_group_name_H-M 'I -4 2 m'
_symmetry_Int_Tables_number 121
_symmetry_space_group_name_Hall 'I -4 2'
_cell_length_a 6.474
_cell_length_b 6.474
_cell_length_c 12.953
_cell_angle_alpha 90.00
_cell_angle_beta 90.00
_cell_angle_gamma 90.00
loop_
_atom_site_label
_atom_site_type_symbol
_atom_site_fract_x
_atom_site_fract_y
_atom_site_fract_z
Zr1 Zr 0.000 0.000 0.000
Zr2 Zr 0.000 0.500 0.250
Sn1 Sn 0.000 0.000 0.263
Sn2 Sn 0.000 0.500 0.000
Au1 Au 0.243 0.243 0.126
```

---

No. 5
This entry pairs a crystal structure of SrZn6Au4 with its calculated powder X-ray diffraction pattern. Radiation: copper Kα. Structure: the PBE geometry in OQMD.

The 10 most intense peaks (2θ = 10–90°), by angle:
| h k l | d [Å] | I (rel.) |
| --- | --- | --- |
| 1 0 0 | 6.492 | 18 |
| 1 0 1 | 3.562 | 28 |
| 2 0 0 | 3.246 | 40 |
| 1 1 1 | 2.814 | 39 |
| 2 0 1 | 2.582 | 50 |
| 2 1 0 | 2.454 | 32 |
| 0 0 2 | 2.128 | 100 |
| 3 0 1 | 1.929 | 35 |
| 2 2 0 | 1.874 | 23 |
| 2 2 2 | 1.407 | 26 |

Atomic structure:
```
data_SrZn6Au4
_symmetry_space_group_name_H-M 'P -6 m 2'
_symmetry_Int_Tables_number 187
_symmetry_space_group_name_Hall 'P -6 2'
_cell_length_a 7.4962
_cell_length_b 7.4962
_cell_length_c 4.2613
_cell_angle_alpha 90.00
_cell_angle_beta 90.00
_cell_angle_gamma 120.00
loop_
_atom_site_label
_atom_site_type_symbol
_atom_site_fract_x
_atom_site_fract_y
_atom_site_fract_z
Sr1 Sr 0.0000 0.0000 0.0000
Zn1 Zn 0.2063 0.4125 0.5000
Zn2 Zn 0.5381 0.0763 0.0000
Au1 Au 0.3333 0.6667 0.0000
Au2 Au 0.3962 0.1981 0.5000
```

---

No. 6
This entry pairs a crystal structure of Sr3Zn4Au4 with its calculated powder X-ray diffraction pattern. Radiation: copper Kα. Structure: the PBE geometry in OQMD.

The 10 most intense peaks (2θ = 10–90°), by angle:
| h k l | d [Å] | I (rel.) |
| --- | --- | --- |
| 1 0 -1 | 4.232 | 65 |
| 0 1 -2 | 4.063 | 36 |
| 1 -1 1 | 3.038 | 100 |
| 1 0 3 | 2.881 | 97 |
| 1 1 -3 | 2.834 | 69 |
| -1 1 3 | 2.570 | 35 |
| 0 1 4 | 2.519 | 44 |
| 0 2 -1 | 2.272 | 64 |
| 2 0 -1 | 2.142 | 53 |
| 1 -1 5 | 2.052 | 49 |

Atomic structure:
```
data_Sr3Zn4Au4
_symmetry_space_group_name_H-M 'P -1'
_symmetry_Int_Tables_number 2
_symmetry_space_group_name_Hall '-P 1'
_cell_length_a 4.283
_cell_length_b 4.543
_cell_length_c 13.969
_cell_angle_alpha 99.19
_cell_angle_beta 98.80
_cell_angle_gamma 90.07
loop_
_atom_site_label
_atom_site_type_symbol
_atom_site_fract_x
_atom_site_fract_y
_atom_site_fract_z
Sr1 Sr 0.000 0.000 0.000
Sr2 Sr 0.149 0.649 0.297
Zn1 Zn 0.254 0.252 0.503
Zn2 Zn 0.401 0.900 0.802
Au1 Au 0.303 0.805 0.610
Au2 Au 0.449 0.446 0.895
```

---

No. 7
This entry pairs a crystal structure of SrZn2Au2 with its calculated powder X-ray diffraction pattern. Radiation: copper Kα. Structure: the PBE geometry in OQMD.

The 10 most intense peaks (2θ = 10–90°), by angle:
| h k l | d [Å] | I (rel.) |
| --- | --- | --- |
| 0 0 2 | 5.206 | 26 |
| 1 1 1 | 3.100 | 44 |
| 1 0 3 | 2.769 | 55 |
| 1 1 2 | 2.755 | 100 |
| 2 0 0 | 2.296 | 88 |
| 1 1 4 | 2.031 | 64 |
| 2 1 3 | 1.768 | 29 |
| 2 2 0 | 1.624 | 32 |
| 3 1 2 | 1.399 | 31 |
| 3 1 4 | 1.268 | 27 |

Atomic structure:
```
data_SrZn2Au2
_symmetry_space_group_name_H-M 'P 4/n m m'
_symmetry_Int_Tables_number 129
_cell_length_a 4.593
_cell_length_b 4.593
_cell_length_c 10.411
_cell_angle_alpha 90.00
_cell_angle_beta 90.00
_cell_angle_gamma 90.00
loop_
_symmetry_equiv_pos_as_xyz
'x,y,z'
'-x,-y,-z'
'-y+1/2,x,z'
'y+1/2,-x,-z'
'-x+1/2,-y+1/2,z'
'x+1/2,y+1/2,-z'
'y,-x+1/2,z'
'-y,x+1/2,-z'
'x+1/2,-y,-z'
'-x+1/2,y,z'
'-y,-x,-z'
'y,x,z'
'-x,y+1/2,-z'
'x,-y+1/2,z'
'y+1/2,x+1/2,-z'
'-y+1/2,-x+1/2,z'
loop_
_atom_site_label
_atom_site_type_symbol
_atom_site_fract_x
_atom_site_fract_y
_atom_site_fract_z
Sr1 Sr 0.250 0.250 0.246
Zn1 Zn 0.250 0.250 0.876
Zn2 Zn 0.250 0.750 0.500
Au1 Au 0.250 0.250 0.629
Au2 Au 0.250 0.750 0.000
```

---

No. 8
This entry pairs a crystal structure of TbAu6 with its calculated powder X-ray diffraction pattern. Radiation: copper Kα. Structure: the PBE geometry in OQMD.

The 10 most intense peaks (2θ = 10–90°), by angle:
| h k l | d [Å] | I (rel.) |
| --- | --- | --- |
| 2 1 3 | 2.676 | 18 |
| 3 3 0 | 2.455 | 25 |
| 4 1 1 | 2.447 | 58 |
| 3 3 1 | 2.384 | 100 |
| 3 1 3 | 2.321 | 41 |
| 4 0 2 | 2.300 | 26 |
| 4 1 2 | 2.246 | 81 |
| 3 2 3 | 2.166 | 20 |
| 7 2 1 | 1.416 | 19 |
| 1 1 7 | 1.377 | 15 |

Atomic structure:
```
data_TbAu6
_symmetry_space_group_name_H-M 'P 42/n c m'
_symmetry_Int_Tables_number 138
_cell_length_a 10.420
_cell_length_b 10.420
_cell_length_c 9.806
_cell_angle_alpha 90.00
_cell_angle_beta 90.00
_cell_angle_gamma 90.00
loop_
_symmetry_equiv_pos_as_xyz
'x,y,z'
'-x,-y,-z'
'-y+1/2,x,z+1/2'
'y+1/2,-x,-z+1/2'
'-x+1/2,-y+1/2,z'
'x+1/2,y+1/2,-z'
'y,-x+1/2,z+1/2'
'-y,x+1/2,-z+1/2'
'x+1/2,-y,-z+1/2'
'-x+1/2,y,z+1/2'
'-y,-x,-z'
'y,x,z'
'-x,y+1/2,-z+1/2'
'x,-y+1/2,z+1/2'
'y+1/2,x+1/2,-z'
'-y+1/2,-x+1/2,z'
loop_
_atom_site_label
_atom_site_type_symbol
_atom_site_fract_x
_atom_site_fract_y
_atom_site_fract_z
Tb1 Tb 0.075 0.075 0.212
Au1 Au 0.000 0.000 0.500
Au2 Au 0.013 0.680 0.579
Au3 Au 0.122 0.699 0.855
Au4 Au 0.148 0.148 0.678
Au5 Au 0.250 0.250 0.433
```